(1)
The following is a simulated powder X-ray diffraction pattern of HgB4W. It was derived from a crystal structure in OQMD, relaxed with GGA-PBE, using Cu Kα (weighted mean of Kα1 and Kα2).
Peak positions follow from Bragg's law for the DFT cell and can differ from measured ones.

Crystal structure
```
data_HgB4W
_cell_length_a 2.9758
_cell_length_b 2.9758
_cell_length_c 9.6193
_cell_angle_alpha 90.00
_cell_angle_beta 90.00
_cell_angle_gamma 120.00
_symmetry_space_group_name_H-M 'P 6/m m m'
_symmetry_Int_Tables_number 191
_symmetry_space_group_name_Hall '-P 6 2'
loop_
_atom_site_label
_atom_site_type_symbol
_atom_site_fract_x
_atom_site_fract_y
_atom_site_fract_z
Hg1 Hg 0.0000 0.0000 0.0000
B1 B 0.3333 0.6667 0.3279
W1 W 0.0000 0.0000 0.5000
```

The 10 most intense peaks (10° ≤ 2θ ≤ 80°), low angle first:
| 2theta | intensity | hkl |
| --- | --- | --- |
| 18.45 | 94 | 0 0 2 |
| 34.81 | 62 | 1 0 0 |
| 37.40 | 18 | 0 0 4 |
| 39.68 | 100 | 1 0 2 |
| 52.01 | 45 | 1 0 4 |
| 62.41 | 15 | 1 1 0 |
| 65.69 | 21 | 1 1 2 |
| 68.99 | 18 | 1 0 6 |
| 75.08 | 14 | 1 1 4 |
| 76.54 | 15 | 2 0 2 |

=====

(2)
The following is a simulated powder X-ray diffraction pattern of SmDyZn2Sn2. It was derived from a crystal structure in OQMD, relaxed with GGA-PBE, using Cu Kα (weighted mean of Kα1 and Kα2).
Peak positions follow from Bragg's law for the DFT cell and can differ from measured ones.

Crystal structure
```
data_SmDyZn2Sn2
_cell_length_a 4.5379
_cell_length_b 4.5379
_cell_length_c 15.9674
_cell_angle_alpha 90.00
_cell_angle_beta 90.00
_cell_angle_gamma 120.00
_symmetry_space_group_name_H-M 'P 63/m m c'
_symmetry_Int_Tables_number 194
_symmetry_space_group_name_Hall '-P 6c 2c'
loop_
_atom_site_label
_atom_site_type_symbol
_atom_site_fract_x
_atom_site_fract_y
_atom_site_fract_z
Sm1 Sm 0.0000 0.0000 0.2500
Dy1 Dy 0.0000 0.0000 0.0000
Zn1 Zn 0.3333 0.6667 0.1573
Sn1 Sn 0.3333 0.6667 0.6123
```

The 10 most intense peaks (10° ≤ 2θ ≤ 80°), low angle first:
| 2theta | intensity | hkl |
| --- | --- | --- |
| 22.63 | 7 | 1 0 0 |
| 28.23 | 15 | 1 0 3 |
| 31.96 | 100 | 1 0 4 |
| 39.73 | 60 | 1 1 0 |
| 45.44 | 7 | 0 0 8 |
| 46.01 | 13 | 1 0 7 |
| 51.86 | 26 | 2 0 4 |
| 61.92 | 17 | 1 1 8 |
| 67.25 | 24 | 2 1 4 |
| 72.10 | 10 | 3 0 0 |

=====

(3)
The following is a simulated powder X-ray diffraction pattern of AlW5. It was derived from a crystal structure in OQMD, relaxed with GGA-PBE, using Cu Kα (weighted mean of Kα1 and Kα2).
Peak positions follow from Bragg's law for the DFT cell and can differ from measured ones.

Crystal structure
```
data_AlW5
_cell_length_a 5.1748
_cell_length_b 5.1748
_cell_length_c 8.4362
_cell_angle_alpha 90.00
_cell_angle_beta 90.00
_cell_angle_gamma 120.00
_symmetry_space_group_name_H-M 'P 63/m m c'
_symmetry_Int_Tables_number 194
_symmetry_space_group_name_Hall '-P 6c 2c'
loop_
_atom_site_label
_atom_site_type_symbol
_atom_site_fract_x
_atom_site_fract_y
_atom_site_fract_z
Al1 Al 0.0000 0.0000 0.0000
W1 W 0.1699 0.3398 0.2500
W2 W 0.3333 0.6667 0.5633
```

The 10 most intense peaks (10° ≤ 2θ ≤ 80°), low angle first:
| 2theta | intensity | hkl |
| --- | --- | --- |
| 21.06 | 19 | 0 0 2 |
| 29.07 | 23 | 1 0 2 |
| 37.77 | 78 | 1 0 3 |
| 40.25 | 29 | 2 0 0 |
| 40.92 | 64 | 1 1 2 |
| 41.71 | 100 | 2 0 1 |
| 64.19 | 30 | 2 1 3 |
| 66.39 | 16 | 3 0 2 |
| 69.77 | 36 | 2 0 5 |
| 73.15 | 24 | 2 2 0 |

=====

(4)
The following is a simulated powder X-ray diffraction pattern of DyHo2Sn3Pt3. It was derived from a crystal structure in OQMD, relaxed with GGA-PBE, using Cu Kα (weighted mean of Kα1 and Kα2).
Peak positions follow from Bragg's law for the DFT cell and can differ from measured ones.

Crystal structure
```
data_DyHo2Sn3Pt3
_cell_length_a 4.0120
_cell_length_b 13.0086
_cell_length_c 7.5030
_cell_angle_alpha 90.00
_cell_angle_beta 90.00
_cell_angle_gamma 90.00
_symmetry_space_group_name_H-M 'A m m 2'
_symmetry_Int_Tables_number 38
_symmetry_space_group_name_Hall 'A 2 -2'
loop_
_atom_site_label
_atom_site_type_symbol
_atom_site_fract_x
_atom_site_fract_y
_atom_site_fract_z
Dy1 Dy 0.0000 0.0000 0.0000
Ho1 Ho 0.0000 0.2031 0.3904
Sn1 Sn 0.5000 0.0000 0.3350
Sn2 Sn 0.5000 0.1294 0.7227
Pt1 Pt 0.0000 0.0000 0.5930
Pt2 Pt 0.5000 0.1671 0.0937
```

The 10 most intense peaks (10° ≤ 2θ ≤ 80°), low angle first:
| 2theta | intensity | hkl |
| --- | --- | --- |
| 32.67 | 83 | 1 0 2 |
| 35.55 | 100 | 1 2 2 |
| 36.57 | 33 | 0 5 1 |
| 41.68 | 48 | 0 6 0 |
| 43.17 | 38 | 1 5 1 |
| 45.20 | 28 | 2 0 0 |
| 59.49 | 16 | 2 5 1 |
| 63.16 | 29 | 2 6 0 |
| 66.93 | 35 | 1 8 2 |
| 77.12 | 22 | 1 5 5 |

=====

(5)
The following is a simulated powder X-ray diffraction pattern of La2Pa2O5. It was derived from a crystal structure in OQMD, relaxed with GGA-PBE, using Cu Kα (weighted mean of Kα1 and Kα2).
Peak positions follow from Bragg's law for the DFT cell and can differ from measured ones.

Crystal structure
```
data_La2Pa2O5
_cell_length_a 4.3231
_cell_length_b 4.3231
_cell_length_c 8.7805
_cell_angle_alpha 90.00
_cell_angle_beta 90.00
_cell_angle_gamma 90.00
_symmetry_space_group_name_H-M 'P 4/m m m'
_symmetry_Int_Tables_number 123
_symmetry_space_group_name_Hall '-P 4 2'
loop_
_atom_site_label
_atom_site_type_symbol
_atom_site_fract_x
_atom_site_fract_y
_atom_site_fract_z
La1 La 0.0000 0.0000 0.0000
La2 La 0.0000 0.0000 0.5000
Pa1 Pa 0.5000 0.5000 0.2402
O1 O 0.0000 0.5000 0.3096
O2 O 0.5000 0.5000 0.5000
```

The 10 most intense peaks (10° ≤ 2θ ≤ 80°), low angle first:
| 2theta | intensity | hkl |
| --- | --- | --- |
| 20.54 | 8 | 1 0 0 |
| 28.99 | 100 | 1 0 2 |
| 29.21 | 45 | 1 1 0 |
| 41.12 | 11 | 0 0 4 |
| 41.79 | 25 | 2 0 0 |
| 51.24 | 22 | 1 1 4 |
| 51.66 | 42 | 2 1 2 |
| 60.07 | 14 | 2 0 4 |
| 67.58 | 9 | 1 0 6 |
| 68.53 | 9 | 3 0 2 |